Nd3Al3Ge: calculated powder diffraction line list (Cu Kα (weighted mean of Kα1 and Kα2)), based on a PBE-relaxed structure.

Lattice parameters (Å, degrees): 4.269 4.392 19.136 90.00 90.00 90.00
Space group Imm2 (No. 44)
Inequivalent atoms, fractional coordinates:
Nd (0.000, 0.000, 0.000)
Nd (0.000, 0.000, 0.370)
Nd (0.000, 0.500, 0.682)
Al (0.000, 0.000, 0.543)
Al (0.000, 0.000, 0.823)
Al (0.000, 0.500, 0.249)
Ge (0.000, 0.500, 0.119)

Most intense lines, 2θ from 10° to 90°, by intensity:
| h k l | 2θ (°) | I_rel |
| --- | --- | --- |
| 1 1 2 | 30.7 | 100.0 |
| 0 1 5 | 31.0 | 58.9 |
| 1 0 3 | 25.1 | 52.0 |
| 2 1 5 | 53.4 | 25.3 |
| 0 2 0 | 41.1 | 21.7 |
| 1 0 7 | 39.1 | 20.3 |